No. 1
Calculated X-ray diffraction stick pattern
Compound: Sm4Ho9Tl11
Radiation: copper Kα
Structure: a crystal structure in Alexandria, relaxed with GGA-PBE
Peak positions follow from Bragg's law for the DFT cell and can differ from measured ones.

Most intense lines, 2θ from 10° to 90°, most intense first:
two_theta, intensity
32.10, 100
33.44, 69
34.23, 56
33.77, 52
58.36, 32
60.99, 30
37.67, 24
51.14, 19
61.64, 18
62.70, 18

Atomic structure:
abc: 14.116 14.116 3.572
angles: 90.00 90.00 109.91
Fractional coordinates of all 24 atoms:
Sm: 0.087 0.250 0.000
Sm: 0.250 0.087 0.000
Sm: 0.750 0.913 0.000
Sm: 0.913 0.750 0.000
Ho: 0.000 0.000 0.000
Ho: 0.113 0.660 0.000
Ho: 0.297 0.487 0.000
Ho: 0.340 0.887 0.000
Ho: 0.487 0.297 0.000
Ho: 0.513 0.703 0.000
Ho: 0.660 0.113 0.000
Ho: 0.703 0.513 0.000
Ho: 0.887 0.340 0.000
Tl: 0.091 0.453 0.500
Tl: 0.124 0.876 0.500
Tl: 0.293 0.293 0.500
Tl: 0.312 0.688 0.500
Tl: 0.453 0.091 0.500
Tl: 0.500 0.500 0.500
Tl: 0.547 0.909 0.500
Tl: 0.688 0.312 0.500
Tl: 0.707 0.707 0.500
Tl: 0.876 0.124 0.500
Tl: 0.909 0.547 0.500

No. 2
Calculated X-ray diffraction stick pattern
Compound: Sm2Ho7Tl2
Radiation: copper Kα
Structure: a crystal structure in Alexandria, relaxed with GGA-PBE
Peak positions follow from Bragg's law for the DFT cell and can differ from measured ones.

Most intense lines, 2θ from 10° to 90°, most intense first:
two_theta, intensity
31.84, 100
30.97, 98
33.63, 31
36.43, 23
62.67, 20
37.23, 20
57.08, 19
49.87, 18
59.85, 18
44.72, 17

Atomic structure:
abc: 11.134 11.134 11.134
angles: 161.09 55.23 128.63
Fractional coordinates of all 11 atoms:
Sm: 0.000 0.000 0.000
Sm: 0.666 0.166 0.500
Ho: 0.007 0.640 0.367
Ho: 0.274 0.640 0.633
Ho: 0.345 0.345 0.000
Ho: 0.347 0.008 0.339
Ho: 0.669 0.008 0.661
Ho: 0.686 0.819 0.866
Ho: 0.953 0.819 0.134
Tl: 0.053 0.295 0.758
Tl: 0.538 0.295 0.242

No. 3
Calculated X-ray diffraction stick pattern
Compound: Sm6Ho12Tl
Radiation: copper Kα
Structure: a crystal structure in Alexandria, relaxed with GGA-PBE
Peak positions follow from Bragg's law for the DFT cell and can differ from measured ones.

Most intense lines, 2θ from 10° to 90°, most intense first:
two_theta, intensity
31.98, 100
33.29, 72
31.18, 44
31.71, 30
33.67, 29
35.22, 21
55.87, 20
23.67, 16
45.51, 15
58.82, 13

Atomic structure:
abc: 8.468 8.468 8.468
angles: 88.93 88.93 88.93
Fractional coordinates of all 19 atoms:
Sm: 0.197 0.593 0.759
Sm: 0.241 0.803 0.407
Sm: 0.407 0.241 0.803
Sm: 0.593 0.759 0.197
Sm: 0.759 0.197 0.593
Sm: 0.803 0.407 0.241
Ho: 0.040 0.277 0.935
Ho: 0.065 0.960 0.723
Ho: 0.140 0.311 0.487
Ho: 0.277 0.935 0.040
Ho: 0.311 0.487 0.140
Ho: 0.487 0.140 0.311
Ho: 0.513 0.860 0.689
Ho: 0.689 0.513 0.860
Ho: 0.723 0.065 0.960
Ho: 0.860 0.689 0.513
Ho: 0.935 0.040 0.277
Ho: 0.960 0.723 0.065
Tl: 0.500 0.500 0.500

No. 4
Calculated X-ray diffraction stick pattern
Compound: Sm4Ho7Tl
Radiation: copper Kα
Structure: a crystal structure in Alexandria, relaxed with GGA-PBE
Peak positions follow from Bragg's law for the DFT cell and can differ from measured ones.

Most intense lines, 2θ from 10° to 90°, most intense first:
two_theta, intensity
32.26, 100
30.64, 97
29.86, 56
34.49, 53
30.02, 47
43.31, 41
32.50, 35
55.52, 31
56.98, 18
31.01, 15

Atomic structure:
abc: 6.763 6.763 12.394
angles: 112.62 112.62 51.12
Fractional coordinates of all 12 atoms:
Sm: 0.126 0.126 0.268
Sm: 0.333 0.333 0.867
Sm: 0.667 0.667 0.133
Sm: 0.874 0.874 0.732
Ho: 0.000 0.000 0.500
Ho: 0.132 0.132 0.982
Ho: 0.299 0.299 0.577
Ho: 0.403 0.403 0.221
Ho: 0.597 0.597 0.779
Ho: 0.701 0.701 0.423
Ho: 0.868 0.868 0.018
Tl: 0.500 0.500 0.500

- What is the formula in the second record?
  Sm2Ho7Tl2